Structure and computed X-ray diffraction stick pattern of FePd4Au3 (a GGA-PBE-relaxed structure; Cu Ka).

Atomic structure:
Lattice parameters (Å, degrees): 2.8423 2.8423 15.8458 90.00 90.00 90.00
Space group P4/mmm (No. 123)
Unique sites:
Fe 0.0000 0.0000 0.0000 (multiplicity 1)
Pd 0.5000 0.5000 0.1081 (multiplicity 2)
Pd 0.5000 0.5000 0.3702 (multiplicity 2)
Au 0.0000 0.0000 0.2409 (multiplicity 2)
Au 0.0000 0.0000 0.5000 (multiplicity 1)

Most intense lines, 15 to 90 degrees two-theta, by intensity:
39.00 deg, I = 100
45.11 deg, I = 35
79.13 deg, I = 25
66.25 deg, I = 17
45.81 deg, I = 13
65.70 deg, I = 11